The following is a theoretical powder diffractogram of ZrZn20Ni2. It was derived from a GGA-PBE-relaxed structure, using CuKα.
Neutral-atom scattering factors, no anomalous dispersion.

Cell and atoms:
a = 13.930 Å, b = 13.930 Å, c = 13.930 Å
α = 90.00°, β = 90.00°, γ = 90.00°
Space group Fd-3m (No. 227, origin choice 2)
One atom of each set of equivalent atoms:
Zr  0.125  0.125  0.125
Zn  0.000  0.000  0.000
Zn  0.012  0.375  0.875
Zn  0.060  0.060  0.323
Ni  0.000  0.000  0.500

Largest 8 diffraction maxima, sorted by position, 10° ≤ 2θ ≤ 80°:
2theta	I (rel.)	h k l
38.2	100	5 3 1
41.0	42	6 2 0
42.6	80	5 3 3
43.1	85	6 2 2
45.1	26	4 4 4
46.6	32	7 1 1
56.0	22	6 6 0
77.5	47	8 8 0

The following is a theoretical powder diffractogram of ZrZn10Ni2. It was derived from a GGA-PBE-relaxed structure, using CuKα.
Neutral-atom scattering factors, no anomalous dispersion.

Cell and atoms:
a = 8.658 Å, b = 10.154 Å, c = 8.584 Å
α = 90.00°, β = 90.00°, γ = 90.00°
Space group Cmcm (No. 63)
One atom of each set of equivalent atoms:
Zr  0.000  0.133  0.250
Zn  0.000  0.145  0.597
Zn  0.000  0.373  0.044
Zn  0.155  0.371  0.750
Zn  0.225  0.000  0.000
Zn  0.226  0.368  0.250
Ni  0.250  0.250  0.000

Largest 8 diffraction maxima, sorted by position, 10° ≤ 2θ ≤ 80°:
2theta	I (rel.)	h k l
35.4	22	0 4 0
36.0	31	0 2 3
38.6	47	3 1 2
41.3	80	0 4 2
41.8	100	4 0 0
42.1	33	0 0 4
46.6	73	2 4 2
47.3	21	2 0 4

The following is a theoretical powder diffractogram of Zr3Zn9Ni2. It was derived from a GGA-PBE-relaxed structure, using CuKα.
Neutral-atom scattering factors, no anomalous dispersion.

Cell and atoms:
a = 4.237 Å, b = 9.180 Å, c = 11.320 Å
α = 90.00°, β = 90.00°, γ = 90.00°
Space group Immm (No. 71)
One atom of each set of equivalent atoms:
Zr  0.000  0.000  0.000
Zr  0.000  0.000  0.296
Zn  0.000  0.278  0.137
Zn  0.000  0.366  0.360
Zn  0.000  0.500  0.000
Ni  0.000  0.151  0.500

Largest 8 diffraction maxima, sorted by position, 10° ≤ 2θ ≤ 80°:
2theta	I (rel.)	h k l
36.2	39	1 3 0
37.3	40	0 2 4
37.5	100	1 2 3
39.5	45	1 1 4
39.7	30	1 3 2
42.7	64	2 0 0
45.7	53	1 4 1
75.3	33	1 4 7

The following is a theoretical powder diffractogram of Zr4Ni. It was derived from a GGA-PBE-relaxed structure, using CuKα.
Neutral-atom scattering factors, no anomalous dispersion.

Cell and atoms:
a = 5.157 Å, b = 5.543 Å, c = 8.320 Å
α = 71.59°, β = 84.26°, γ = 65.75°
Space group P-1 (No. 2)
One atom of each set of equivalent atoms:
Zr  0.072  0.385  0.363
Zr  0.207  0.208  0.007
Zr  0.276  0.867  0.743
Zr  0.397  0.764  0.371
Ni  0.320  0.645  0.085

Largest 8 diffraction maxima, sorted by position, 10° ≤ 2θ ≤ 80°:
2theta	I (rel.)	h k l
34.1	59	0 0 3
34.9	40	1 2 2
35.1	100	2 1 0
35.4	30	1 1 3
35.7	55	1 -1 1
37.4	39	0 2 2
38.7	27	1 0 -3
39.6	52	1 2 -1

The following is a theoretical powder diffractogram of Zr2Ni7. It was derived from a GGA-PBE-relaxed structure, using CuKα.
Neutral-atom scattering factors, no anomalous dispersion.

Cell and atoms:
a = 4.706 Å, b = 8.239 Å, c = 12.165 Å
α = 90.00°, β = 95.86°, γ = 90.00°
Space group C2/m (No. 12)
One atom of each set of equivalent atoms:
Zr  0.220  0.000  0.114
Zr  0.223  0.500  0.614
Ni  0.002  0.250  0.750
Ni  0.203  0.334  0.078
Ni  0.206  0.166  0.578
Ni  0.248  0.500  0.250

Largest 8 diffraction maxima, sorted by position, 10° ≤ 2θ ≤ 80°:
2theta	I (rel.)	h k l
38.3	47	1 3 -1
38.5	37	2 0 0
42.8	38	2 0 2
43.3	100	1 3 -3
44.5	30	2 2 0
44.9	59	0 0 6
45.4	95	1 3 3
46.6	64	2 0 -4

The following is a theoretical powder diffractogram of Zr7Ni10. It was derived from a GGA-PBE-relaxed structure, using CuKα.
Neutral-atom scattering factors, no anomalous dispersion.

Cell and atoms:
a = 12.425 Å, b = 9.189 Å, c = 9.224 Å
α = 90.00°, β = 90.00°, γ = 90.00°
Space group Cmce (No. 64)
One atom of each set of equivalent atoms:
Zr  0.000  0.000  0.000
Zr  0.000  0.186  0.313
Zr  0.192  0.000  0.500
Zr  0.250  0.247  0.250
Ni  0.000  0.106  0.604
Ni  0.145  0.009  0.792
Ni  0.145  0.208  0.007

Largest 8 diffraction maxima, sorted by position, 10° ≤ 2θ ≤ 80°:
2theta	I (rel.)	h k l
37.8	86	3 3 1
39.1	23	0 0 4
39.2	23	0 4 0
40.1	100	4 2 2
42.3	20	1 3 3
43.7	15	6 0 0
47.3	17	3 3 3
56.5	19	0 4 4

The following is a theoretical powder diffractogram of Zr6Ni23. It was derived from a GGA-PBE-relaxed structure, using CuKα.
Neutral-atom scattering factors, no anomalous dispersion.

Cell and atoms:
a = 11.490 Å, b = 11.490 Å, c = 11.490 Å
α = 90.00°, β = 90.00°, γ = 90.00°
Space group Fm-3m (No. 225)
One atom of each set of equivalent atoms:
Zr  0.000  0.000  0.213
Ni  0.000  0.000  0.500
Ni  0.000  0.250  0.250
Ni  0.120  0.120  0.380
Ni  0.171  0.171  0.171

Largest 8 diffraction maxima, sorted by position, 10° ≤ 2θ ≤ 80°:
2theta	I (rel.)	h k l
38.4	18	4 2 2
40.8	54	3 3 3
44.6	100	4 4 0
46.8	16	5 3 1
47.5	9	6 0 0
50.2	9	6 2 0
69.4	11	6 6 0
75.4	8	7 5 3

The following is a theoretical powder diffractogram of Np. It was derived from a GGA-PBE-relaxed structure, using CuKα.
Neutral-atom scattering factors, no anomalous dispersion.

Cell and atoms:
a = 4.612 Å, b = 4.612 Å, c = 3.462 Å
α = 90.00°, β = 90.00°, γ = 90.00°
Space group P4/nmm (No. 129, origin choice 2)
One atom of each set of equivalent atoms:
Np  0.250  0.250  0.180
Np  0.250  0.750  0.500

Largest 8 diffraction maxima, sorted by position, 10° ≤ 2θ ≤ 80°:
2theta	I (rel.)	h k l
25.7	11	0 0 1
32.3	61	1 0 1
37.9	100	1 1 1
39.1	91	2 0 0
51.6	34	2 1 1
56.4	32	2 2 0
60.6	35	1 1 2
70.0	35	3 1 1

The following is a theoretical powder diffractogram of Np3O8. It was derived from a GGA-PBE-relaxed structure, using CuKα.
Neutral-atom scattering factors, no anomalous dispersion.

Cell and atoms:
a = 5.215 Å, b = 5.215 Å, c = 5.215 Å
α = 90.00°, β = 90.00°, γ = 90.00°
Space group Pm-3m (No. 221)
One atom of each set of equivalent atoms:
Np  0.000  0.000  0.500
O  0.241  0.241  0.241

Largest 8 diffraction maxima, sorted by position, 10° ≤ 2θ ≤ 80°:
2theta	I (rel.)	h k l
17.0	34	1 0 0
24.1	28	1 1 0
29.7	100	1 1 1
34.4	33	2 0 0
38.6	16	2 1 0
42.5	13	2 1 1
49.4	51	2 2 0
58.7	46	3 1 1

The following is a theoretical powder diffractogram of NpO4. It was derived from a GGA-PBE-relaxed structure, using CuKα.
Neutral-atom scattering factors, no anomalous dispersion.

Cell and atoms:
a = 5.817 Å, b = 5.864 Å, c = 6.092 Å
α = 90.00°, β = 120.30°, γ = 90.00°
Space group P2/c (No. 13)
One atom of each set of equivalent atoms:
Np  0.000  0.144  0.250
O  0.199  0.087  0.696
O  0.239  0.358  0.275

Largest 8 diffraction maxima, sorted by position, 10° ≤ 2θ ≤ 80°:
2theta	I (rel.)	h k l
15.1	53	0 1 0
17.7	100	1 0 0
22.7	69	0 1 1
23.0	64	1 1 -1
23.3	40	1 1 0
29.3	27	1 0 -2
34.1	28	0 0 2
35.2	29	1 2 -1

The following is a theoretical powder diffractogram of NpOsO5. It was derived from a GGA-PBE-relaxed structure, using CuKα.
Neutral-atom scattering factors, no anomalous dispersion.

Cell and atoms:
a = 8.984 Å, b = 6.239 Å, c = 8.272 Å
α = 90.00°, β = 119.19°, γ = 90.00°
Space group C2/c (No. 15)
One atom of each set of equivalent atoms:
Np  0.000  0.000  0.000
Os  0.000  0.476  0.250
O  0.000  0.167  0.250
O  0.019  0.311  0.919
O  0.248  0.472  0.359

Largest 8 diffraction maxima, sorted by position, 10° ≤ 2θ ≤ 80°:
2theta	I (rel.)	h k l
22.7	68	2 0 0
25.9	100	1 1 -2
28.6	34	0 2 0
34.2	36	3 1 -2
35.1	33	1 1 2
36.8	26	2 2 0
53.1	29	2 2 -4
54.4	24	3 1 2